No. 1
Diffraction record for Al6NiAg3. The powder XRD pattern is simulated, not measured: it uses a PBE-relaxed structure and Cu Kα.
No peak broadening, texture or thermal motion is included.

Structure:
Cell: 7.6513 10.2961 4.1923 Å, 90.00 90.00 90.00°
Space group Pnnm (No. 58)
Symmetry-distinct sites (fractional):
1 Al 0.0271 0.2386 0.0000 x4
2 Al 0.1498 0.0671 0.5000 x4
3 Al 0.2099 0.3770 0.5000 x4
4 Ni 0.0000 0.0000 0.0000 x2
5 Ag 0.0000 0.5000 0.0000 x2
6 Ag 0.1486 0.6557 0.5000 x4

Largest 12 diffraction maxima, most intense first, 10 to 90 degrees two-theta:
2.179 Å, I = 100; 2.109 Å, I = 76; 2.656 Å, I = 71; 2.096 Å, I = 51; 4.271 Å, I = 48; 2.477 Å, I = 48; 6.141 Å, I = 46; 2.135 Å, I = 43; 2.992 Å, I = 42; 3.462 Å, I = 28; 2.047 Å, I = 27; 1.496 Å, I = 23

---

No. 2
Diffraction record for TbAl3NiAg. The powder XRD pattern is simulated, not measured: it uses a PBE-relaxed structure and Cu Kα.
No peak broadening, texture or thermal motion is included.

Structure:
Cell: 5.9977 12.4879 5.8696 Å, 90.00 90.00 90.00°
Space group Cmcm (No. 63)
Symmetry-distinct sites (fractional):
1 Tb 0.0000 0.2197 0.2500 x4
2 Al 0.0000 0.3676 0.7500 x4
3 Al 0.2195 0.0000 0.0000 x8
4 Ni 0.0000 0.4282 0.2500 x4
5 Ag 0.0000 0.1553 0.7500 x4

Largest 12 diffraction maxima, most intense first, 10 to 90 degrees two-theta:
2.097 Å, I = 100; 2.146 Å, I = 96; 2.999 Å, I = 80; 2.935 Å, I = 73; 3.420 Å, I = 72; 2.227 Å, I = 55; 2.703 Å, I = 49; 2.656 Å, I = 49; 1.508 Å, I = 41; 6.244 Å, I = 38; 2.955 Å, I = 37; 2.306 Å, I = 36

---

No. 3
Diffraction record for Al2AgOsO8. The powder XRD pattern is simulated, not measured: it uses a PBE-relaxed structure and Cu Kα.
No peak broadening, texture or thermal motion is included.

Structure:
Cell: 6.5089 6.3403 6.1895 Å, 90.00 91.74 90.00°
Space group C2/m (No. 12)
Symmetry-distinct sites (fractional):
1 Al 0.0084 0.0000 0.2565 x4
2 Ag 0.0000 0.5000 0.5000 x2
3 Os 0.0000 0.5000 0.0000 x2
4 O 0.0000 0.1785 0.5000 x4
5 O 0.0000 0.1967 0.0000 x4
6 O 0.1976 0.5000 0.7740 x4
7 O 0.2176 0.5000 0.1979 x4

Largest 12 diffraction maxima, most intense first, 10 to 90 degrees two-theta:
4.541 Å, I = 100; 3.253 Å, I = 54; 3.170 Å, I = 54; 2.582 Å, I = 46; 2.532 Å, I = 38; 3.093 Å, I = 23; 2.010 Å, I = 21; 2.276 Å, I = 20; 1.693 Å, I = 19; 2.270 Å, I = 19; 2.208 Å, I = 18; 1.678 Å, I = 17